Starting from a cell relaxed with PBE, the PXRD pattern of Bi2S3O12 was computed for λ = 1.5418 Å (Cu Kα).
Neutral-atom scattering factors, no anomalous dispersion.

Atomic structure:
abc: 9.433 9.433 9.433
angles: 60.27 60.27 60.27
Sites, in units of the cell vectors:
Bi 0.139 0.139 0.139
Bi 0.361 0.361 0.361
Bi 0.639 0.639 0.639
Bi 0.861 0.861 0.861
S 0.045 0.750 0.455
S 0.250 0.545 0.955
S 0.455 0.045 0.750
S 0.545 0.955 0.250
S 0.750 0.455 0.045
S 0.955 0.250 0.545
O 0.007 0.811 0.592
O 0.058 0.893 0.285
O 0.092 0.311 0.507
O 0.107 0.715 0.942
O 0.189 0.408 0.993
O 0.215 0.607 0.442
O 0.285 0.058 0.893
O 0.311 0.507 0.092
O 0.393 0.558 0.785
O 0.408 0.993 0.189
O 0.442 0.215 0.607
O 0.493 0.908 0.689
O 0.507 0.092 0.311
O 0.558 0.785 0.393
O 0.592 0.007 0.811
O 0.607 0.442 0.215
O 0.689 0.493 0.908
O 0.715 0.942 0.107
O 0.785 0.393 0.558
O 0.811 0.592 0.007
O 0.893 0.285 0.058
O 0.908 0.689 0.493
O 0.942 0.107 0.715
O 0.993 0.189 0.408

Largest 8 diffraction maxima, sorted by position, 2θ = 15–90°:
- 4.725 Å, 18.78°, I 100.0
- 4.032 Å, 22.05°, I 13.9
- 3.342 Å, 26.68°, I 29.1
- 2.985 Å, 29.94°, I 17.9
- 2.732 Å, 32.78°, I 50.2
- 2.116 Å, 42.73°, I 12.9
- 2.111 Å, 42.84°, I 13.5
- 1.789 Å, 51.04°, I 23.7